For Pu11Ni4Ge9, the GGA-PBE geometry in Alexandria gives the simulated powder XRD pattern in this record (Cu Kα, 1.54184 Å).

Top 8 peaks for 5° ≤ 2θ ≤ 70°, low angle first:
2θ (°), I (rel.)
22.1, 60
28.1, 30
34.1, 49
36.1, 100
36.5, 90
40.6, 57
45.2, 58
62.3, 33

a = 12.445 Å, b = 19.059 Å, c = 4.014 Å
α = 90.00°, β = 90.00°, γ = 90.00°
Space group Cmmm (No. 65)
Symmetry-distinct sites (fractional):
Pu 0.000 0.000 0.000 x2
Pu 0.000 0.162 0.000 x4
Pu 0.000 0.374 0.000 x4
Pu 0.195 0.500 0.000 x4
Pu 0.221 0.176 0.000 x8
Ni 0.158 0.398 0.500 x8
Ge 0.000 0.500 0.500 x2
Ge 0.107 0.270 0.500 x8
Ge 0.143 0.074 0.500 x8

---

For Mn2TcGe4, the GGA-PBE geometry in Alexandria gives the simulated powder XRD pattern in this record (Cu Kα, 1.54184 Å).

Top 8 peaks for 5° ≤ 2θ ≤ 70°, low angle first:
2θ (°), I (rel.)
14.4, 55
26.5, 45
29.1, 17
30.3, 27
37.8, 100
41.4, 77
54.5, 33
57.3, 57

a = 4.762 Å, b = 4.762 Å, c = 12.283 Å
α = 90.00°, β = 90.00°, γ = 90.00°
Space group I4/mmm (No. 139)
Symmetry-distinct sites (fractional):
Mn 0.000 0.000 0.102 x4
Tc 0.000 0.000 0.500 x2
Ge 0.000 0.000 0.299 x4
Ge 0.000 0.500 0.000 x4

---

For LaMgCu5, the GGA-PBE geometry in Alexandria gives the simulated powder XRD pattern in this record (Cu Kα, 1.54184 Å).

Top 8 peaks for 5° ≤ 2θ ≤ 70°, low angle first:
2θ (°), I (rel.)
35.5, 22
37.5, 100
38.9, 16
40.4, 19
43.9, 15
44.1, 31
44.9, 27
64.2, 21

a = 8.415 Å, b = 5.154 Å, c = 10.592 Å
α = 90.00°, β = 90.00°, γ = 90.00°
Space group Pnma (No. 62)
Symmetry-distinct sites (fractional):
La 0.246 0.250 0.061 x4
Mg 0.139 0.750 0.862 x4
Cu 0.053 0.750 0.110 x4
Cu 0.068 0.002 0.313 x8
Cu 0.085 0.250 0.516 x4
Cu 0.184 0.250 0.744 x4

---

For Cd4SiSe3S3, the GGA-PBE geometry in Alexandria gives the simulated powder XRD pattern in this record (Cu Kα, 1.54184 Å).

Top 8 peaks for 5° ≤ 2θ ≤ 70°, low angle first:
2θ (°), I (rel.)
24.1, 54
25.3, 100
25.6, 51
28.3, 47
29.6, 72
30.0, 64
45.0, 57
45.6, 51

a = 12.795 Å, b = 7.256 Å, c = 12.829 Å
α = 90.00°, β = 109.52°, γ = 90.00°
Space group Cc (No. 9)
Symmetry-distinct sites (fractional):
Cd 0.000 0.074 0.000 x4
Cd 0.148 0.398 0.498 x4
Cd 0.173 0.116 0.804 x4
Cd 0.360 0.192 0.147 x4
Si 0.423 0.262 0.744 x4
Se 0.111 0.249 0.294 x4
Se 0.351 0.480 0.293 x4
Se 0.352 0.218 0.556 x4
S 0.045 0.228 0.613 x4
S 0.172 0.251 0.990 x4
S 0.374 0.026 0.816 x4

---

For LaPuZr, the GGA-PBE geometry in Alexandria gives the simulated powder XRD pattern in this record (Cu Kα, 1.54184 Å).

Top 8 peaks for 5° ≤ 2θ ≤ 70°, low angle first:
2θ (°), I (rel.)
11.9, 17
27.3, 12
32.3, 100
36.4, 17
37.9, 33
53.6, 22
62.9, 12
65.0, 27

a = 3.355 Å, b = 3.355 Å, c = 14.812 Å
α = 90.00°, β = 90.00°, γ = 90.00°
Space group I4mm (No. 107)
Symmetry-distinct sites (fractional):
La 0.000 0.000 0.000 x2
Pu 0.000 0.000 0.319 x2
Zr 0.000 0.000 0.673 x2

---

For Rb2Sc3I10, the GGA-PBE geometry in Alexandria gives the simulated powder XRD pattern in this record (Cu Kα, 1.54184 Å).

Top 8 peaks for 5° ≤ 2θ ≤ 70°, low angle first:
2θ (°), I (rel.)
26.1, 62
27.0, 100
27.7, 44
28.4, 42
28.7, 92
43.4, 45
45.5, 27
52.0, 33

a = 27.699 Å, b = 8.400 Å, c = 11.451 Å
α = 90.00°, β = 111.34°, γ = 90.00°
Space group C2/m (No. 12)
Symmetry-distinct sites (fractional):
Rb 0.128 0.000 0.235 x4
Rb 0.239 0.000 0.827 x4
Sc 0.000 0.237 0.500 x4
Sc 0.077 0.500 0.977 x4
Sc 0.180 0.500 0.532 x4
I 0.000 0.268 0.000 x4
I 0.016 0.000 0.693 x4
I 0.016 0.500 0.689 x4
I 0.112 0.243 0.546 x8
I 0.128 0.500 0.253 x4
I 0.140 0.251 0.959 x8
I 0.236 0.500 0.792 x4
I 0.250 0.250 0.500 x4